(1)
Sr2ScTaO6: computed X-ray powder pattern (Cu Kα, 1.54184 Å), based on a structure optimized by DFT (PBE).
Neutral-atom scattering factors, no anomalous dispersion.

Structural model:
```
data_Sr2ScTaO6
_cell_length_a 5.735
_cell_length_b 5.762
_cell_length_c 9.945
_cell_angle_alpha 90.00
_cell_angle_beta 125.20
_cell_angle_gamma 90.00
_symmetry_space_group_name_H-M 'P 1 21/c 1'
_symmetry_Int_Tables_number 14
_symmetry_space_group_name_Hall '-P 2ybc'
loop_
_atom_site_label
_atom_site_fract_x
_atom_site_fract_y
_atom_site_fract_z
Sr1 0.247 0.024 0.251
Sc1 0.500 0.000 0.000
Ta1 0.000 0.000 0.500
O1 0.181 0.227 0.969
O2 0.243 0.713 0.970
O3 0.302 0.012 0.743
```

Peak list (6 most intense, 2θ = 10–90°, sorted by position)
| index | Position (°2θ) | Rel. int. |
| --- | --- | --- |
| 1 0 0 | 18.9 | 37.3 |
| 1 1 1 | 31.1 | 100.0 |
| 2 0 -2 | 31.2 | 19.6 |
| 0 0 4 | 44.6 | 36.7 |
| 0 2 4 | 55.3 | 23.8 |
| 3 1 -5 | 55.5 | 26.1 |



(2)
TiGaPt: computed X-ray powder pattern (Cu Kα, 1.54184 Å), based on a structure optimized by DFT (PBE).
Neutral-atom scattering factors, no anomalous dispersion.

Structural model:
```
data_TiGaPt
_cell_length_a 4.4160
_cell_length_b 4.4160
_cell_length_c 5.5157
_cell_angle_alpha 90.00
_cell_angle_beta 90.00
_cell_angle_gamma 120.00
_symmetry_space_group_name_H-M 'P 63/m m c'
_symmetry_Int_Tables_number 194
_symmetry_space_group_name_Hall '-P 6c 2c'
loop_
_atom_site_label
_atom_site_fract_x
_atom_site_fract_y
_atom_site_fract_z
Ti1 0.0000 0.0000 0.0000
Ga1 0.3333 0.6667 0.2500
Pt1 0.3333 0.6667 0.7500
```

Peak list (6 most intense, 2θ = 10–90°, sorted by position)
| index | Position (°2θ) | Rel. int. |
| --- | --- | --- |
| 1 0 0 | 23.3 | 30.8 |
| 1 0 1 | 28.4 | 55.9 |
| 0 0 2 | 32.5 | 30.2 |
| 1 0 2 | 40.3 | 68.7 |
| 1 1 0 | 40.9 | 100.0 |
| 1 1 2 | 53.1 | 46.8 |



(3)
ErAlB14: computed X-ray powder pattern (Cu Kα, 1.54184 Å), based on a structure optimized by DFT (PBE).
Neutral-atom scattering factors, no anomalous dispersion.

Structural model:
```
data_ErAlB14
_cell_length_a 5.911
_cell_length_b 10.456
_cell_length_c 8.230
_cell_angle_alpha 90.00
_cell_angle_beta 90.00
_cell_angle_gamma 90.00
_symmetry_space_group_name_H-M 'I m m a'
_symmetry_Int_Tables_number 74
_symmetry_space_group_name_Hall '-I 2b 2'
loop_
_atom_site_label
_atom_site_fract_x
_atom_site_fract_y
_atom_site_fract_z
Er1 0.000 0.250 0.153
Al1 0.250 0.250 0.750
B1 0.000 0.090 0.667
B2 0.000 0.144 0.875
B3 0.000 0.167 0.466
B4 0.162 0.061 0.338
B5 0.248 0.080 0.548
```

Peak list (6 most intense, 2θ = 10–90°, sorted by position)
| index | Position (°2θ) | Rel. int. |
| --- | --- | --- |
| 0 1 1 | 13.7 | 94.0 |
| 0 2 0 | 17.0 | 71.4 |
| 1 2 1 | 25.2 | 51.5 |
| 1 1 2 | 27.8 | 100.0 |
| 2 1 1 | 33.3 | 55.3 |
| 1 2 3 | 40.1 | 52.3 |



(4)
Cs2PbO3: computed X-ray powder pattern (Cu Kα, 1.54184 Å), based on a structure optimized by DFT (PBE).
Neutral-atom scattering factors, no anomalous dispersion.

Structural model:
```
data_Cs2PbO3
_cell_length_a 11.561
_cell_length_b 7.923
_cell_length_c 6.201
_cell_angle_alpha 90.00
_cell_angle_beta 90.00
_cell_angle_gamma 90.00
_symmetry_space_group_name_H-M 'C m c m'
_symmetry_Int_Tables_number 63
_symmetry_space_group_name_Hall '-C 2c 2'
loop_
_atom_site_label
_atom_site_fract_x
_atom_site_fract_y
_atom_site_fract_z
Cs1 0.163 0.146 0.250
Pb1 0.000 0.412 0.750
O1 0.000 0.150 0.750
O2 0.125 0.500 0.000
```

Peak list (6 most intense, 2θ = 10–90°, sorted by position)
| index | Position (°2θ) | Rel. int. |
| --- | --- | --- |
| 3 1 0 | 25.7 | 55.1 |
| 0 2 1 | 26.7 | 100.0 |
| 0 0 2 | 28.8 | 47.4 |
| 3 1 1 | 29.5 | 95.6 |
| 3 1 2 | 39.0 | 50.3 |
| 6 2 1 | 55.0 | 38.9 |



(5)
CsVCl3: computed X-ray powder pattern (Cu Kα, 1.54184 Å), based on a structure optimized by DFT (PBE).
Neutral-atom scattering factors, no anomalous dispersion.

Structural model:
```
data_CsVCl3
_cell_length_a 7.3655
_cell_length_b 7.3655
_cell_length_c 6.2797
_cell_angle_alpha 90.00
_cell_angle_beta 90.00
_cell_angle_gamma 120.00
_symmetry_space_group_name_H-M 'P 63/m m c'
_symmetry_Int_Tables_number 194
_symmetry_space_group_name_Hall '-P 6c 2c'
loop_
_atom_site_label
_atom_site_fract_x
_atom_site_fract_y
_atom_site_fract_z
Cs1 0.3333 0.6667 0.2500
V1 0.0000 0.0000 0.0000
Cl1 0.1524 0.3048 0.7500
```

Peak list (6 most intense, 2θ = 10–90°, sorted by position)
| index | Position (°2θ) | Rel. int. |
| --- | --- | --- |
| 1 0 1 | 19.8 | 55.9 |
| 1 1 0 | 24.2 | 50.7 |
| 2 0 1 | 31.5 | 100.0 |
| 2 0 2 | 40.3 | 32.9 |
| 2 2 0 | 49.5 | 23.9 |
| 2 0 3 | 52.3 | 21.5 |



(6)
DyCdHg2: computed X-ray powder pattern (Cu Kα, 1.54184 Å), based on a structure optimized by DFT (PBE).
Neutral-atom scattering factors, no anomalous dispersion.

Structural model:
```
data_DyCdHg2
_cell_length_a 7.219
_cell_length_b 7.219
_cell_length_c 7.219
_cell_angle_alpha 90.00
_cell_angle_beta 90.00
_cell_angle_gamma 90.00
_symmetry_space_group_name_H-M 'F m -3 m'
_symmetry_Int_Tables_number 225
_symmetry_space_group_name_Hall '-F 4 2 3'
loop_
_atom_site_label
_atom_site_fract_x
_atom_site_fract_y
_atom_site_fract_z
Dy1 0.000 0.000 0.000
Cd1 0.000 0.000 0.500
Hg1 0.250 0.250 0.250
```

Peak list (6 most intense, 2θ = 10–90°, sorted by position)
| index | Position (°2θ) | Rel. int. |
| --- | --- | --- |
| 2 0 0 | 24.7 | 4.0 |
| 2 2 0 | 35.2 | 100.0 |
| 4 0 0 | 50.6 | 17.9 |
| 4 2 2 | 63.1 | 36.9 |
| 4 4 0 | 74.3 | 11.5 |
| 6 2 0 | 85.0 | 16.7 |



(7)
TlBC4N4: computed X-ray powder pattern (Cu Kα, 1.54184 Å), based on a structure optimized by DFT (PBE).
Neutral-atom scattering factors, no anomalous dispersion.

Structural model:
```
data_TlBC4N4
_cell_length_a 7.261
_cell_length_b 7.261
_cell_length_c 14.808
_cell_angle_alpha 90.00
_cell_angle_beta 90.00
_cell_angle_gamma 90.00
_symmetry_space_group_name_H-M 'I 41/a'
_symmetry_Int_Tables_number 88
loop_
_symmetry_equiv_pos_as_xyz
'x,y,z'
'-x,-y,-z'
'-y+3/4,x+1/4,z+1/4'
'y+3/4,-x+1/4,-z+1/4'
'-x+1/2,-y,z+1/2'
'x+1/2,y,-z+1/2'
'y+3/4,-x+3/4,z+3/4'
'-y+3/4,x+3/4,-z+3/4'
'x+1/2,y+1/2,z+1/2'
'-x+1/2,-y+1/2,-z+1/2'
'-y+1/4,x+3/4,z+3/4'
'y+1/4,-x+3/4,-z+3/4'
'-x,-y+1/2,z'
'x,y+1/2,-z'
'y+1/4,-x+1/4,z+1/4'
'-y+1/4,x+1/4,-z+1/4'
loop_
_atom_site_label
_atom_site_fract_x
_atom_site_fract_y
_atom_site_fract_z
Tl1 0.000 0.250 0.125
B1 0.000 0.250 0.625
C1 0.098 0.401 0.686
N1 0.171 0.014 0.271
```

Peak list (6 most intense, 2θ = 10–90°, sorted by position)
| index | Position (°2θ) | Rel. int. |
| --- | --- | --- |
| 1 0 1 | 13.6 | 63.3 |
| 1 1 2 | 21.1 | 100.0 |
| 2 1 1 | 28.1 | 36.8 |
| 1 2 3 | 33.0 | 29.9 |
| 2 0 4 | 34.6 | 33.6 |
| 1 3 2 | 41.2 | 37.7 |



(8)
MgCdTe2: computed X-ray powder pattern (Cu Kα, 1.54184 Å), based on a structure optimized by DFT (PBE).
Neutral-atom scattering factors, no anomalous dispersion.

Structural model:
```
data_MgCdTe2
_cell_length_a 4.651
_cell_length_b 4.651
_cell_length_c 6.557
_cell_angle_alpha 90.00
_cell_angle_beta 90.00
_cell_angle_gamma 90.00
_symmetry_space_group_name_H-M 'P -4 m 2'
_symmetry_Int_Tables_number 115
_symmetry_space_group_name_Hall 'P -4 -2'
loop_
_atom_site_label
_atom_site_fract_x
_atom_site_fract_y
_atom_site_fract_z
Mg1 0.000 0.000 0.000
Cd1 0.500 0.500 0.500
Te1 0.000 0.500 0.243
```

Peak list (6 most intense, 2θ = 10–90°, sorted by position)
| index | Position (°2θ) | Rel. int. |
| --- | --- | --- |
| 1 0 1 | 23.5 | 100.0 |
| 2 0 0 | 38.8 | 73.9 |
| 2 1 1 | 45.8 | 32.9 |
| 1 0 3 | 45.9 | 16.2 |
| 3 0 1 | 61.5 | 19.9 |
| 3 1 2 | 70.1 | 16.5 |